# Mg14ZrC
Computed XRD peak list, a wavelength of 1.5418 Å. Input: a structure optimized by DFT (PBE).
Neutral-atom scattering factors, no anomalous dispersion.

Main lines, in order of rising 2θ (2θ = 5–70°):
h k l  two_theta  Rel. int.
1 0 0  8.69  60
3 1 1  31.47  28
2 1 3  32.85  27
0 2 2  34.46  62
4 0 0  35.26  41
2 0 4  35.55  100
2 2 2  38.86  93
4 1 1  39.41  26

Atomic structure:
```
data_Mg14ZrC
_chemical_formula_sum 'Mg28 Zr2 C2'
_cell_length_a 10.1802
_cell_length_b 5.8206
_cell_length_c 11.6375
_cell_angle_alpha 90.00
_cell_angle_beta 90.00
_cell_angle_gamma 90.00
_space_group_name_H-M_alt 'A m m 2'
_space_group_IT_number 38
_space_group_name_Hall 'A 2 -2'
loop_
_atom_site_label
_atom_site_fract_x
_atom_site_fract_y
_atom_site_fract_z
_atom_site_occupancy
Mg1 0.0000 0.0000 0.0000 1
Mg2 0.0000 0.0000 0.4894 1
Mg3 0.0000 0.2472 0.2420 1
Mg4 0.2481 0.0000 0.6491 1
Mg5 0.2507 0.2453 0.3978 1
Mg6 0.3543 0.0000 0.0962 1
Mg7 0.5000 0.2346 0.7781 1
Zr1 0.5000 0.0000 0.5172 1
C1 0.5000 0.0000 0.9375 1
```

***

# Mg14ZrC
Computed XRD peak list, a wavelength of 1.5418 Å. Input: a structure optimized by DFT (PBE).
Neutral-atom scattering factors, no anomalous dispersion.

Main lines, in order of rising 2θ (2θ = 5–70°):
h k l  two_theta  Rel. int.
0 0 1  8.94  15
1 0 1  18.61  22
2 0 0  32.91  26
0 0 4  36.32  24
2 0 2  37.73  100
2 0 4  49.82  15
2 2 0  58.76  17
2 0 6  66.28  16

Atomic structure:
```
data_Mg14ZrC
_chemical_formula_sum 'Mg14 Zr1 C1'
_cell_length_a 6.2851
_cell_length_b 6.2851
_cell_length_c 9.8934
_cell_angle_alpha 90.00
_cell_angle_beta 90.00
_cell_angle_gamma 120.00
_space_group_name_H-M_alt 'P -6 m 2'
_space_group_IT_number 187
_space_group_name_Hall 'P -6 2'
loop_
_atom_site_label
_atom_site_fract_x
_atom_site_fract_y
_atom_site_fract_z
_atom_site_occupancy
Mg1 0.0000 0.0000 0.2391 1
Mg2 0.0230 0.5115 0.2654 1
Mg3 0.3263 0.1632 0.5000 1
Mg4 0.3458 0.1729 0.0000 1
Zr1 0.3333 0.6667 0.0000 1
C1 0.3333 0.6667 0.5000 1
```

***

# Mn6C
Computed XRD peak list, a wavelength of 1.5418 Å. Input: a structure optimized by DFT (PBE).
Neutral-atom scattering factors, no anomalous dispersion.

Main lines, in order of rising 2θ (2θ = 5–70°):
h k l  two_theta  Rel. int.
1 1 1  14.62  8
3 3 1  37.36  8
4 2 2  42.20  31
3 3 3  44.89  100
4 4 0  49.12  37
4 4 2  52.32  9
6 2 2  58.34  4
5 5 3  68.72  7

Atomic structure:
Lattice parameters (Å, degrees): 10.4918 10.4918 10.4918 90.00 90.00 90.00
Space group Fd-3m (No. 227, origin choice 2)
Inequivalent atoms, fractional coordinates:
Mn: 0.0000 0.0000 0.0000 (multiplicity 16)
Mn: 0.0389 0.0389 0.2111 (multiplicity 32)
Mn: 0.0697 0.3750 0.8750 (multiplicity 48)
C: 0.0000 0.0000 0.5000 (multiplicity 16)

***

# Mn23C6
Computed XRD peak list, a wavelength of 1.5418 Å. Input: a structure optimized by DFT (PBE).
Neutral-atom scattering factors, no anomalous dispersion.

Main lines, in order of rising 2θ (2θ = 5–70°):
h k l  two_theta  Rel. int.
4 0 0  34.43  6
4 2 0  38.65  24
4 2 2  42.50  28
3 3 3  45.22  100
4 4 0  49.49  21
5 3 1  51.92  26
6 0 0  52.71  14
6 2 2  58.79  7

Atomic structure:
```
data_Mn23C6
_chemical_formula_sum 'Mn92 C24'
_cell_length_a 10.4193
_cell_length_b 10.4193
_cell_length_c 10.4193
_cell_angle_alpha 90.00
_cell_angle_beta 90.00
_cell_angle_gamma 90.00
_space_group_name_H-M_alt 'F m -3 m'
_space_group_IT_number 225
_space_group_name_Hall '-F 4 2 3'
loop_
_atom_site_label
_atom_site_fract_x
_atom_site_fract_y
_atom_site_fract_z
_atom_site_occupancy
Mn1 0.0000 0.0000 0.0000 1
Mn2 0.0000 0.1670 0.1670 1
Mn3 0.1179 0.1179 0.3821 1
Mn4 0.2500 0.2500 0.2500 1
C1 0.0000 0.0000 0.2755 1
```